# 1
TbTh8: theoretical powder diffractogram (Cu Kα), based on the PBE geometry in Alexandria.
Intensities are scaled so that the largest is 100.

Most intense lines, 10° ≤ 2θ ≤ 90°, in order of rising 2θ:
| h k l | 2θ/deg | Rel. int. |
| --- | --- | --- |
| 3 3 0 | 29.8 | 64 |
| 3 0 1 | 32.7 | 100 |
| 6 0 0 | 42.6 | 25 |
| 6 3 1 | 54.7 | 48 |
| 3 3 2 | 60.2 | 18 |
| 6 6 0 | 61.8 | 8 |
| 6 0 2 | 68.6 | 12 |
| 9 3 0 | 70.1 | 12 |
| 9 0 1 | 71.7 | 11 |
| 9 6 1 | 87.2 | 14 |

Cell and atoms:
Unit cell a=12.734 b=12.734 c=3.580 alpha=90.00 beta=90.00 gamma=90.00
Space group I4/mmm (No. 139)
Unique sites:
Tb (0.000, 0.000, 0.000) x2
Th (0.000, 0.332, 0.000) x8
Th (0.169, 0.169, 0.500) x8

=====

# 2
CuSn2Au6: theoretical powder diffractogram (Cu Kα), based on the PBE geometry in Alexandria.
Intensities are scaled so that the largest is 100.

Most intense lines, 10° ≤ 2θ ≤ 90°, in order of rising 2θ:
| h k l | 2θ/deg | Rel. int. |
| --- | --- | --- |
| 0 3 1 | 35.9 | 100 |
| 3 0 1 | 37.8 | 85 |
| 3 3 0 | 41.5 | 64 |
| 0 0 2 | 45.5 | 27 |
| 0 6 0 | 57.4 | 12 |
| 3 3 2 | 63.3 | 37 |
| 3 6 1 | 70.8 | 24 |
| 6 3 1 | 74.4 | 20 |
| 0 6 2 | 76.1 | 10 |
| 0 3 3 | 77.8 | 11 |

Cell and atoms:
Unit cell a=8.892 b=9.634 c=3.985 alpha=90.00 beta=90.00 gamma=90.00
Space group Pnnm (No. 58)
Unique sites:
Cu (0.000, 0.000, 0.000) x2
Sn (0.177, 0.168, 0.500) x4
Au (0.006, 0.332, 0.000) x4
Au (0.143, 0.853, 0.500) x4
Au (0.170, 0.497, 0.500) x4

=====

# 3
Er4GeTeAs2: theoretical powder diffractogram (Cu Kα), based on the PBE geometry in Alexandria.
Intensities are scaled so that the largest is 100.

Most intense lines, 10° ≤ 2θ ≤ 90°, in order of rising 2θ:
| h k l | 2θ/deg | Rel. int. |
| --- | --- | --- |
| 1 1 2 | 26.3 | 17 |
| 2 0 0 | 30.4 | 100 |
| 2 2 0 | 43.5 | 74 |
| 3 1 2 | 51.5 | 6 |
| 2 2 4 | 54.0 | 26 |
| 4 0 0 | 63.2 | 8 |
| 4 2 0 | 71.8 | 23 |
| 2 0 8 | 71.9 | 10 |
| 4 2 4 | 79.9 | 17 |
| 2 2 8 | 80.0 | 8 |

Cell and atoms:
Unit cell a=5.883 b=5.883 c=11.737 alpha=90.00 beta=90.00 gamma=90.00
Space group I-4m2 (No. 119)
Unique sites:
Er (0.000, 0.000, 0.240) x4
Er (0.000, 0.500, 0.000) x4
Ge (0.000, 0.500, 0.250) x2
Te (0.000, 0.000, 0.500) x2
As (0.000, 0.000, 0.000) x2
As (0.000, 0.500, 0.750) x2